Record 1
The following is a simulated X-ray diffraction stick pattern of Hg2AsPb. It was derived from a crystal structure in Alexandria, relaxed with PBE, using a wavelength of 1.5418 Å.

Most intense lines, 10° ≤ 2θ ≤ 90°, by angle:
| 2θ (°) | d (Å) | I/Imax |
| --- | --- | --- |
| 28.4 | 3.139 | 12 |
| 32.8 | 2.727 | 28 |
| 33.6 | 2.668 | 100 |
| 41.2 | 2.192 | 12 |
| 42.3 | 2.135 | 14 |
| 53.6 | 1.708 | 11 |
| 54.6 | 1.681 | 13 |
| 59.1 | 1.563 | 20 |
| 70.6 | 1.334 | 10 |
| 71.8 | 1.314 | 11 |

a b c (Å): 4.270 5.453 8.769
angles (deg): 90.00 90.00 90.00
Atoms (fractional coordinates):
Hg 0.000 0.000 0.226
Hg 0.000 0.000 0.774
Hg 0.500 0.500 0.226
Hg 0.500 0.500 0.774
As 0.000 0.500 0.000
As 0.500 0.000 0.000
Pb 0.000 0.500 0.500
Pb 0.500 0.000 0.500

Record 2
The following is a simulated X-ray diffraction stick pattern of HgAs2Pb. It was derived from a crystal structure in Alexandria, relaxed with PBE, using a wavelength of 1.5418 Å.

Most intense lines, 10° ≤ 2θ ≤ 90°, by angle:
| 2θ (°) | d (Å) | I/Imax |
| --- | --- | --- |
| 18.4 | 4.832 | 15 |
| 25.9 | 3.444 | 19 |
| 30.5 | 2.930 | 26 |
| 32.8 | 2.726 | 32 |
| 34.2 | 2.621 | 100 |
| 34.4 | 2.606 | 18 |
| 48.3 | 1.884 | 14 |
| 59.5 | 1.553 | 21 |
| 61.1 | 1.516 | 11 |
| 61.5 | 1.508 | 20 |

a b c (Å): 3.649 5.453 10.425
angles (deg): 90.00 90.00 90.00
Atoms (fractional coordinates):
Hg 0.000 0.000 0.000
Hg 0.500 0.500 0.500
As 0.000 0.000 0.588
As 0.000 0.500 0.254
As 0.500 0.000 0.754
As 0.500 0.500 0.088
Pb 0.000 0.500 0.768
Pb 0.500 0.000 0.268

Record 3
The following is a simulated X-ray diffraction stick pattern of Hg2AsPd5. It was derived from a crystal structure in Alexandria, relaxed with PBE, using a wavelength of 1.5418 Å.

Most intense lines, 10° ≤ 2θ ≤ 90°, by angle:
| 2θ (°) | d (Å) | I/Imax |
| --- | --- | --- |
| 28.7 | 3.110 | 37 |
| 36.0 | 2.497 | 100 |
| 38.8 | 2.321 | 30 |
| 43.2 | 2.094 | 40 |
| 52.7 | 1.737 | 11 |
| 59.5 | 1.555 | 31 |
| 62.7 | 1.481 | 12 |
| 68.4 | 1.371 | 16 |
| 74.5 | 1.274 | 19 |
| 76.3 | 1.248 | 14 |

a b c (Å): 5.923 5.923 4.641
angles (deg): 90.00 90.00 90.00
Atoms (fractional coordinates):
Hg 0.000 0.500 0.000
Hg 0.500 0.000 0.000
As 0.000 0.000 0.500
Pd 0.000 0.000 0.000
Pd 0.277 0.277 0.500
Pd 0.277 0.723 0.500
Pd 0.723 0.277 0.500
Pd 0.723 0.723 0.500

Record 4
The following is a simulated X-ray diffraction stick pattern of HgAs2Pd7. It was derived from a crystal structure in Alexandria, relaxed with PBE, using a wavelength of 1.5418 Å.

Most intense lines, 10° ≤ 2θ ≤ 90°, by angle:
| 2θ (°) | d (Å) | I/Imax |
| --- | --- | --- |
| 25.5 | 3.497 | 21 |
| 32.3 | 2.775 | 19 |
| 35.2 | 2.548 | 13 |
| 35.8 | 2.510 | 23 |
| 41.1 | 2.198 | 100 |
| 44.4 | 2.039 | 54 |
| 57.9 | 1.592 | 13 |
| 64.7 | 1.442 | 22 |
| 72.8 | 1.300 | 11 |
| 79.5 | 1.206 | 28 |

a b c (Å): 10.592 10.592 10.592
angles (deg): 157.80 157.80 31.60
Atoms (fractional coordinates):
Hg 0.000 0.000 0.000
As 0.328 0.328 0.000
As 0.672 0.672 0.000
Pd 0.102 0.602 0.500
Pd 0.250 0.750 0.500
Pd 0.398 0.898 0.500
Pd 0.500 0.500 0.000
Pd 0.602 0.102 0.500
Pd 0.750 0.250 0.500
Pd 0.898 0.398 0.500

Record 5
The following is a simulated X-ray diffraction stick pattern of HgAs2Pd2. It was derived from a crystal structure in Alexandria, relaxed with PBE, using a wavelength of 1.5418 Å.

Most intense lines, 10° ≤ 2θ ≤ 90°, by angle:
| 2θ (°) | d (Å) | I/Imax |
| --- | --- | --- |
| 28.7 | 3.110 | 20 |
| 32.9 | 2.724 | 19 |
| 33.2 | 2.701 | 26 |
| 36.9 | 2.436 | 100 |
| 37.2 | 2.420 | 19 |
| 39.0 | 2.309 | 81 |
| 47.4 | 1.918 | 33 |
| 53.2 | 1.723 | 16 |
| 72.1 | 1.311 | 28 |
| 72.8 | 1.300 | 20 |

a b c (Å): 7.704 7.704 3.110
angles (deg): 90.00 90.00 90.00
Atoms (fractional coordinates):
Hg 0.000 0.000 0.000
Hg 0.500 0.500 0.000
As 0.141 0.359 0.500
As 0.359 0.859 0.500
As 0.641 0.141 0.500
As 0.859 0.641 0.500
Pd 0.144 0.644 0.000
Pd 0.356 0.144 0.000
Pd 0.644 0.856 0.000
Pd 0.856 0.356 0.000